Entry 1:
For K2RbAuO, a DFT-relaxed cell (PBE, Alexandria) gives the simulated powder diffractogram in this record (copper Kα).

Lattice parameters (Å, degrees): 7.741 7.741 7.741 121.98 121.98 86.60
Fractional coordinates of all 10 atoms:
K: 0.224 0.724 0.948
K: 0.276 0.224 0.500
K: 0.724 0.776 0.500
K: 0.776 0.276 0.052
Rb: 0.250 0.250 0.000
Rb: 0.750 0.750 0.000
Au: 0.251 0.751 0.500
Au: 0.751 0.251 0.500
O: 0.000 0.000 0.000
O: 0.500 0.500 0.000

Most intense lines, 10° ≤ 2θ ≤ 80°, low angle first:
| 2θ (°) | Rel. int. |
| --- | --- |
| 15.73 | 27 |
| 23.02 | 22 |
| 23.70 | 33 |
| 28.57 | 100 |
| 31.77 | 23 |
| 33.77 | 38 |
| 37.45 | 16 |
| 40.02 | 17 |
| 47.04 | 29 |
| 48.50 | 15 |
| 54.66 | 24 |
| 57.26 | 26 |

Entry 2:
For HgSbPb, a DFT-relaxed cell (PBE, Alexandria) gives the simulated powder diffractogram in this record (copper Kα).

Lattice parameters (Å, degrees): 5.395 5.395 3.402 90.00 90.00 120.00
Fractional coordinates of all 3 atoms:
Hg: 0.000 0.000 0.000
Sb: 0.333 0.667 0.754
Pb: 0.667 0.333 0.433

Most intense lines, 10° ≤ 2θ ≤ 80°, low angle first:
| 2θ (°) | Rel. int. |
| --- | --- |
| 18.99 | 8 |
| 32.56 | 100 |
| 33.21 | 91 |
| 47.19 | 36 |
| 57.68 | 15 |
| 58.92 | 38 |
| 59.33 | 18 |
| 64.80 | 7 |
| 68.20 | 9 |
| 69.71 | 11 |
| 77.99 | 13 |
| 79.07 | 17 |

Entry 3:
For NaSmCdSn, a DFT-relaxed cell (PBE, Alexandria) gives the simulated powder diffractogram in this record (copper Kα).

Lattice parameters (Å, degrees): 4.310 4.761 5.188 90.00 90.00 90.00
Fractional coordinates of all 4 atoms:
Na: 0.000 0.000 0.000
Sm: 0.000 0.500 0.500
Cd: 0.500 0.500 0.000
Sn: 0.500 0.000 0.500

Most intense lines, 10° ≤ 2θ ≤ 80°, low angle first:
| 2θ (°) | Rel. int. |
| --- | --- |
| 17.09 | 12 |
| 32.92 | 100 |
| 34.58 | 22 |
| 37.79 | 17 |
| 41.92 | 13 |
| 52.15 | 14 |
| 55.43 | 11 |
| 57.70 | 10 |
| 60.91 | 17 |
| 65.17 | 14 |
| 69.04 | 12 |
| 70.87 | 12 |

Entry 4:
For Pr3ErSc, a DFT-relaxed cell (PBE, Alexandria) gives the simulated powder diffractogram in this record (copper Kα).

Lattice parameters (Å, degrees): 5.654 11.936 10.081 90.00 90.00 90.00
Fractional coordinates of all 20 atoms:
Pr: 0.249 0.250 0.000
Pr: 0.249 0.250 0.500
Pr: 0.250 0.558 0.064
Pr: 0.250 0.558 0.436
Pr: 0.250 0.942 0.564
Pr: 0.250 0.942 0.936
Pr: 0.750 0.058 0.064
Pr: 0.750 0.058 0.436
Pr: 0.750 0.442 0.564
Pr: 0.750 0.442 0.936
Pr: 0.751 0.750 0.000
Pr: 0.751 0.750 0.500
Er: 0.250 0.061 0.250
Er: 0.250 0.439 0.750
Er: 0.750 0.561 0.250
Er: 0.750 0.939 0.750
Sc: 0.251 0.711 0.750
Sc: 0.251 0.789 0.250
Sc: 0.749 0.211 0.750
Sc: 0.749 0.289 0.250

Most intense lines, 10° ≤ 2θ ≤ 80°, low angle first:
| 2θ (°) | Rel. int. |
| --- | --- |
| 14.84 | 15 |
| 17.28 | 30 |
| 27.41 | 14 |
| 31.26 | 22 |
| 31.65 | 44 |
| 31.87 | 73 |
| 32.76 | 100 |
| 45.08 | 16 |
| 56.53 | 22 |
| 57.08 | 21 |
| 63.34 | 10 |
| 64.83 | 11 |

Entry 5:
For TmAl3B4O12, a DFT-relaxed cell (PBE, Alexandria) gives the simulated powder diffractogram in this record (copper Kα).

Lattice parameters (Å, degrees): 5.912 5.912 5.912 104.34 104.34 104.34
Fractional coordinates of all 20 atoms:
Tm: 0.000 0.000 0.000
Al: 0.000 0.555 0.445
Al: 0.445 0.000 0.555
Al: 0.555 0.445 0.000
B: 0.056 0.500 0.944
B: 0.500 0.500 0.500
B: 0.500 0.944 0.056
B: 0.944 0.056 0.500
O: 0.029 0.631 0.782
O: 0.092 0.908 0.500
O: 0.218 0.369 0.971
O: 0.351 0.649 0.500
O: 0.369 0.971 0.218
O: 0.500 0.092 0.908
O: 0.500 0.351 0.649
O: 0.631 0.782 0.029
O: 0.649 0.500 0.351
O: 0.782 0.029 0.631
O: 0.908 0.500 0.092
O: 0.971 0.218 0.369

Most intense lines, 10° ≤ 2θ ≤ 80°, low angle first:
| 2θ (°) | Rel. int. |
| --- | --- |
| 16.39 | 100 |
| 19.01 | 63 |
| 25.20 | 69 |
| 26.87 | 33 |
| 31.75 | 48 |
| 33.12 | 96 |
| 33.23 | 26 |
| 38.50 | 70 |
| 41.98 | 27 |
| 42.16 | 39 |
| 51.77 | 31 |
| 54.56 | 30 |

Entry 6:
For Pm8Ho4Er, a DFT-relaxed cell (PBE, Alexandria) gives the simulated powder diffractogram in this record (copper Kα).

Lattice parameters (Å, degrees): 7.831 7.831 7.831 90.00 90.00 90.00
Fractional coordinates of all 13 atoms:
Pm: 0.241 0.241 0.241
Pm: 0.241 0.241 0.759
Pm: 0.241 0.759 0.241
Pm: 0.241 0.759 0.759
Pm: 0.759 0.241 0.241
Pm: 0.759 0.241 0.759
Pm: 0.759 0.759 0.241
Pm: 0.759 0.759 0.759
Ho: 0.000 0.000 0.000
Ho: 0.000 0.500 0.500
Ho: 0.500 0.000 0.500
Ho: 0.500 0.500 0.000
Er: 0.500 0.500 0.500

Most intense lines, 10° ≤ 2θ ≤ 80°, low angle first:
| 2θ (°) | Rel. int. |
| --- | --- |
| 16.01 | 4 |
| 19.64 | 14 |
| 22.71 | 4 |
| 25.43 | 5 |
| 32.34 | 100 |
| 38.11 | 8 |
| 46.38 | 18 |
| 50.82 | 3 |
| 57.67 | 37 |
| 61.53 | 3 |
| 67.68 | 11 |
| 77.02 | 16 |

Entry 7:
For Y2Pt17, a DFT-relaxed cell (PBE, Alexandria) gives the simulated powder diffractogram in this record (copper Kα).

Lattice parameters (Å, degrees): 6.972 6.972 6.972 83.37 83.37 83.37
Fractional coordinates of all 19 atoms:
Y: 0.164 0.164 0.164
Y: 0.836 0.836 0.836
Pt: 0.000 0.500 0.500
Pt: 0.155 0.155 0.664
Pt: 0.155 0.664 0.155
Pt: 0.187 0.500 0.813
Pt: 0.187 0.813 0.500
Pt: 0.336 0.845 0.845
Pt: 0.390 0.390 0.390
Pt: 0.500 0.000 0.500
Pt: 0.500 0.187 0.813
Pt: 0.500 0.500 0.000
Pt: 0.500 0.813 0.187
Pt: 0.610 0.610 0.610
Pt: 0.664 0.155 0.155
Pt: 0.813 0.187 0.500
Pt: 0.813 0.500 0.187
Pt: 0.845 0.336 0.845
Pt: 0.845 0.845 0.336

Most intense lines, 10° ≤ 2θ ≤ 80°, low angle first:
| 2θ (°) | Rel. int. |
| --- | --- |
| 19.14 | 27 |
| 33.47 | 24 |
| 34.88 | 12 |
| 38.84 | 42 |
| 39.23 | 75 |
| 40.41 | 42 |
| 44.00 | 100 |
| 45.07 | 27 |
| 63.71 | 16 |
| 68.00 | 14 |
| 70.33 | 26 |
| 72.67 | 22 |

Entry 8:
For V2CrNiPt, a DFT-relaxed cell (PBE, Alexandria) gives the simulated powder diffractogram in this record (copper Kα).

Lattice parameters (Å, degrees): 4.139 4.139 4.668 90.00 90.00 90.00
Fractional coordinates of all 5 atoms:
V: 0.000 0.500 0.000
V: 0.500 0.000 0.000
Cr: 0.000 0.000 0.000
Ni: 0.500 0.500 0.500
Pt: 0.000 0.000 0.500

Most intense lines, 10° ≤ 2θ ≤ 80°, low angle first:
| 2θ (°) | Rel. int. |
| --- | --- |
| 21.47 | 66 |
| 30.55 | 38 |
| 36.23 | 100 |
| 38.58 | 38 |
| 43.75 | 53 |
| 44.57 | 20 |
| 49.98 | 20 |
| 59.72 | 41 |
| 63.59 | 17 |
| 68.27 | 15 |
| 75.43 | 23 |
| 76.90 | 19 |

Entry 9:
For Nd3Pu, a DFT-relaxed cell (PBE, Alexandria) gives the simulated powder diffractogram in this record (copper Kα).

Lattice parameters (Å, degrees): 3.607 5.882 6.315 90.00 90.00 90.00
Fractional coordinates of all 4 atoms:
Nd: 0.000 0.000 0.000
Nd: 0.000 0.500 0.331
Nd: 0.500 0.000 0.507
Pu: 0.500 0.500 0.829

Most intense lines, 10° ≤ 2θ ≤ 80°, low angle first:
| 2θ (°) | Rel. int. |
| --- | --- |
| 28.26 | 11 |
| 28.50 | 27 |
| 30.39 | 40 |
| 32.17 | 55 |
| 32.38 | 100 |
| 42.15 | 19 |
| 50.18 | 20 |
| 55.14 | 13 |
| 55.27 | 22 |
| 59.80 | 24 |
| 60.19 | 12 |
| 61.25 | 18 |

Entry 10:
For Ho3In2, a DFT-relaxed cell (PBE, Alexandria) gives the simulated powder diffractogram in this record (copper Kα).

Lattice parameters (Å, degrees): 3.524 3.524 22.113 90.00 90.00 90.00
Fractional coordinates of all 10 atoms:
Ho: 0.000 0.000 0.000
Ho: 0.000 0.000 0.192
Ho: 0.000 0.000 0.808
Ho: 0.500 0.500 0.308
Ho: 0.500 0.500 0.500
Ho: 0.500 0.500 0.692
In: 0.000 0.000 0.404
In: 0.000 0.000 0.596
In: 0.500 0.500 0.096
In: 0.500 0.500 0.904

Most intense lines, 10° ≤ 2θ ≤ 80°, low angle first:
| 2θ (°) | Rel. int. |
| --- | --- |
| 24.15 | 2 |
| 25.60 | 3 |
| 32.49 | 100 |
| 36.05 | 39 |
| 40.81 | 12 |
| 51.90 | 14 |
| 52.40 | 2 |
| 55.57 | 19 |
| 62.58 | 30 |
| 68.04 | 11 |
| 69.06 | 9 |
| 76.46 | 4 |

Entry 11:
For Lu2C3, a DFT-relaxed cell (PBE, Alexandria) gives the simulated powder diffractogram in this record (copper Kα).

Lattice parameters (Å, degrees): 6.937 6.937 6.937 109.47 109.47 109.47
Fractional coordinates of all 20 atoms:
Lu: 0.000 0.100 0.500
Lu: 0.000 0.600 0.500
Lu: 0.100 0.500 0.000
Lu: 0.400 0.400 0.400
Lu: 0.500 0.000 0.100
Lu: 0.500 0.000 0.600
Lu: 0.600 0.500 0.000
Lu: 0.900 0.900 0.900
C: 0.041 0.791 0.250
C: 0.209 0.959 0.250
C: 0.250 0.041 0.791
C: 0.250 0.209 0.959
C: 0.291 0.541 0.750
C: 0.459 0.709 0.750
C: 0.541 0.750 0.291
C: 0.709 0.750 0.459
C: 0.750 0.291 0.541
C: 0.750 0.459 0.709
C: 0.791 0.250 0.041
C: 0.959 0.250 0.209

Most intense lines, 10° ≤ 2θ ≤ 80°, low angle first:
| 2θ (°) | Rel. int. |
| --- | --- |
| 27.27 | 47 |
| 31.59 | 100 |
| 35.44 | 93 |
| 42.22 | 47 |
| 45.29 | 7 |
| 53.67 | 27 |
| 56.27 | 15 |
| 58.78 | 62 |
| 63.63 | 28 |
| 68.28 | 5 |
| 72.78 | 11 |
| 77.18 | 18 |

Entry 12:
For La2SmAg4, a DFT-relaxed cell (PBE, Alexandria) gives the simulated powder diffractogram in this record (copper Kα).

Lattice parameters (Å, degrees): 5.578 5.578 12.703 90.00 90.00 90.00
Fractional coordinates of all 14 atoms:
La: 0.000 0.000 0.216
La: 0.000 0.000 0.784
La: 0.500 0.500 0.284
La: 0.500 0.500 0.716
Sm: 0.000 0.000 0.500
Sm: 0.500 0.500 0.000
Ag: 0.000 0.500 0.116
Ag: 0.000 0.500 0.384
Ag: 0.000 0.500 0.616
Ag: 0.000 0.500 0.884
Ag: 0.500 0.000 0.116
Ag: 0.500 0.000 0.384
Ag: 0.500 0.000 0.616
Ag: 0.500 0.000 0.884

Most intense lines, 10° ≤ 2θ ≤ 80°, low angle first:
| 2θ (°) | Rel. int. |
| --- | --- |
| 26.43 | 39 |
| 26.60 | 9 |
| 32.10 | 91 |
| 36.32 | 100 |
| 42.04 | 23 |
| 46.03 | 33 |
| 53.07 | 10 |
| 60.00 | 45 |
| 63.38 | 12 |
| 67.13 | 10 |
| 76.36 | 14 |
| 78.79 | 10 |

Entry 13:
For SmTc2H7, a DFT-relaxed cell (PBE, Alexandria) gives the simulated powder diffractogram in this record (copper Kα).

Lattice parameters (Å, degrees): 5.195 5.195 3.565 90.00 90.00 117.00
Fractional coordinates of all 10 atoms:
Sm: 0.000 0.000 0.000
Tc: 0.304 0.696 0.500
Tc: 0.696 0.304 0.500
H: 0.050 0.317 0.500
H: 0.275 0.725 0.000
H: 0.317 0.050 0.500
H: 0.500 0.500 0.500
H: 0.683 0.950 0.500
H: 0.725 0.275 0.000
H: 0.950 0.683 0.500

Most intense lines, 10° ≤ 2θ ≤ 80°, low angle first:
| 2θ (°) | Rel. int. |
| --- | --- |
| 19.18 | 24 |
| 31.68 | 100 |
| 32.24 | 93 |
| 33.00 | 59 |
| 34.58 | 86 |
| 46.80 | 66 |
| 51.26 | 17 |
| 58.11 | 18 |
| 59.96 | 18 |
| 60.83 | 39 |
| 62.32 | 18 |
| 63.31 | 29 |

Entry 14:
For LaScZn, a DFT-relaxed cell (PBE, Alexandria) gives the simulated powder diffractogram in this record (copper Kα).

Lattice parameters (Å, degrees): 5.154 5.173 7.343 69.68 69.57 60.29
Fractional coordinates of all 6 atoms:
La: 0.117 0.119 0.147
La: 0.883 0.881 0.853
Sc: 0.302 0.301 0.595
Sc: 0.698 0.699 0.405
Zn: 0.435 0.439 0.194
Zn: 0.565 0.561 0.806

Most intense lines, 10° ≤ 2θ ≤ 80°, low angle first:
| 2θ (°) | Rel. int. |
| --- | --- |
| 13.17 | 37 |
| 26.53 | 33 |
| 26.67 | 50 |
| 29.81 | 59 |
| 34.64 | 100 |
| 34.81 | 49 |
| 37.01 | 18 |
| 37.16 | 44 |
| 40.25 | 17 |
| 44.30 | 17 |
| 51.71 | 19 |
| 54.04 | 15 |